For BaPaTeO2, a DFT-relaxed cell (GGA-PBE, Alexandria) gives the computed powder diffraction line list in this record (copper Kα).
Peak positions follow from Bragg's law for the DFT cell and can differ from measured ones.

Structural model:
Cell: 4.4443 4.4443 6.6797 Å, 90.00 90.00 90.00°
Atoms (fractional coordinates):
1 Ba 0.0000 0.0000 0.0000
2 Pa 0.5000 0.5000 0.3279
3 Te 0.5000 0.5000 0.7958
4 O 0.0000 0.5000 0.2627
5 O 0.5000 0.0000 0.2627

Top 10 peaks for 2θ = 10–80°, by angle:
2θ = 13.3°, intensity 20
2θ = 20.0°, intensity 43
2θ = 24.1°, intensity 56
2θ = 26.7°, intensity 20
2θ = 28.4°, intensity 79
2θ = 33.6°, intensity 100
2θ = 39.4°, intensity 22
2θ = 40.6°, intensity 46
2θ = 53.7°, intensity 53
2θ = 58.7°, intensity 21